Starting from a DFT-relaxed cell (PBE+U, Alexandria), the PXRD pattern of Mn5Si4O14 was calculated for Cu Kα (λ = 1.5418 Å).

Principal peaks in the range 5 to 70 degrees two-theta, in order of rising 2θ:
| h k l | 2θ (°) | Rel. int. |
| --- | --- | --- |
| 0 1 0 | 13.51 | 100 |
| 1 1 1 | 18.21 | 29 |
| 1 2 1 | 24.16 | 61 |
| 0 0 2 | 24.43 | 25 |
| 1 2 2 | 27.76 | 65 |
| -1 1 2 | 29.13 | 40 |
| 0 1 -2 | 33.05 | 52 |
| -1 2 1 | 33.93 | 32 |

Crystal structure
```
data_Mn5Si4O14
_space_group_name_H-M_alt 'P -1'
_space_group_IT_number 2
_space_group_name_Hall '-P 1'
_cell_length_a 5.792
_cell_length_b 7.819
_cell_length_c 8.182
_cell_angle_alpha 63.32
_cell_angle_beta 84.99
_cell_angle_gamma 69.71
loop_
_atom_site_label
_atom_site_type_symbol
_atom_site_fract_x
_atom_site_fract_y
_atom_site_fract_z
Mn1 Mn 0.000 0.000 0.000
Mn2 Mn 0.097 0.566 0.793
Mn3 Mn 0.346 0.559 0.303
Si1 Si 0.246 0.232 0.627
Si2 Si 0.498 0.780 0.852
O1 O 0.011 0.198 0.752
O2 O 0.162 0.336 0.408
O3 O 0.211 0.338 0.061
O4 O 0.317 0.805 0.016
O5 O 0.336 0.402 0.643
O6 O 0.399 0.660 0.771
O7 O 0.472 0.013 0.696
```